Computed X-ray powder pattern
Compound: NaMnPCO7
Radiation: Cu Kα X-rays
Structure: a crystal structure in the Materials Project, relaxed with GGA+U
Neutral-atom scattering factors, no anomalous dispersion.

```
NaMnPCO7
1.0
5.2533 0.0000 0.0000
0.0000 6.2581 0.0000
-0.3924 0.0000 9.0364
Na Mn P C O
2 2 2 2 14
Cartesian
1.1526 0.0000 2.3871
3.7083 3.1290 6.6493
0.8017 1.3421 7.6182
4.0592 4.4711 1.4182
1.0971 4.5096 8.4331
3.7638 1.3806 0.6033
1.2141 1.4467 5.2306
3.6468 4.5757 3.8058
0.0176 1.4141 5.7823
0.6463 4.5572 0.6827
0.7487 3.2956 7.5290
0.8060 5.7057 7.4952
1.4471 1.4806 4.0211
2.2532 1.3239 0.2274
2.1488 1.4302 6.1732
2.7121 4.5593 2.8632
2.6077 4.4529 8.8090
3.4138 4.6096 5.0154
4.0549 2.5766 1.5412
4.1122 0.1666 1.5074
4.2146 1.4281 8.3537
4.8433 4.5432 3.2541
```

Peak list (8 most intense, 2θ = 10–90°, by intensity)
2theta  intensity
17.2  100.0
28.5  76.3
25.4  63.5
19.9  51.8
22.1  47.4
19.2  43.4
24.5  38.3
34.2  34.9

Computed X-ray powder pattern
Compound: NaMnPCO7
Radiation: Cu Kα X-rays
Structure: a crystal structure in the Materials Project, relaxed with GGA+U
Neutral-atom scattering factors, no anomalous dispersion.

```
NaMnPCO7
1.0
10.4166 0.0000 0.0000
0.0000 6.2361 0.0000
-4.8463 0.0000 9.2385
Na Mn P C O
4 4 4 4 28
Cartesian
1.3101 0.2742 2.2485
-1.1130 2.8438 6.8677
6.6833 3.3923 2.3708
4.2602 5.9619 6.9901
0.8580 4.6732 5.2177
3.2811 4.6810 0.5985
2.2892 1.5551 8.6401
4.7123 1.5629 4.0208
1.7292 1.5449 5.3320
4.1524 1.5732 0.7127
1.4179 4.6630 8.5258
3.8411 4.6912 3.9066
-1.0749 4.6800 3.7505
-3.4981 4.6742 8.3698
9.0684 1.5619 0.8687
6.6452 1.5561 5.4880
-2.7996 1.5213 6.2401
-0.3764 1.5967 1.6208
-1.1240 4.6197 5.0701
1.2991 4.7345 0.4508
-2.2297 4.6482 7.9700
0.1935 4.7060 3.3507
0.7705 0.3428 5.1214
3.1936 2.7752 0.5021
3.1762 0.3706 0.6313
0.7531 2.7475 5.2506
0.6652 4.6033 7.1881
3.0883 4.7509 2.5688
0.3338 1.5513 8.7802
2.7570 1.5667 4.1610
2.8133 4.6694 5.0776
5.2365 4.6848 0.4583
2.4820 1.4852 6.6697
4.9051 1.6329 2.0504
4.8172 3.4887 3.9880
2.3941 5.8655 8.6072
2.3767 3.4609 8.7364
4.7998 5.8933 4.1172
5.3768 1.5301 5.8878
7.8000 1.5879 1.2685
4.2712 1.5016 8.7877
6.6943 1.6165 4.1684
5.9467 4.6394 7.6177
8.3699 4.7148 2.9984
```

Peak list (8 most intense, 2θ = 10–90°, by intensity)
2theta  intensity
17.2  100.0
28.6  92.7
25.3  72.6
19.9  61.9
19.2  52.7
22.2  49.3
44.7  46.9
24.5  43.8

Computed X-ray powder pattern
Compound: Na2MnPCO7
Radiation: Cu Kα X-rays
Structure: a crystal structure in the Materials Project, relaxed with GGA+U
Neutral-atom scattering factors, no anomalous dispersion.

```
Na2MnPCO7
1.0
6.7266 0.0000 0.0000
-0.0126 8.8908 0.0000
-0.0536 -0.2507 10.4081
Na Mn P C O
8 4 4 4 28
Cartesian
0.0000 0.0000 0.0000
6.6997 -0.0820 5.0492
1.7039 7.1330 7.6336
3.2714 -0.0965 5.0217
3.3006 0.0002 0.0203
3.3632 4.5069 2.5061
6.4302 4.2280 7.6651
6.6408 4.5026 2.4651
1.6798 3.5955 0.0065
1.6672 3.4593 5.3152
4.9592 0.7758 7.5436
5.0159 0.9117 2.3499
1.5881 1.3454 7.9372
1.6434 1.5313 2.7431
4.9901 2.8754 4.8754
4.9666 2.7178 10.1147
1.5596 5.8434 10.1478
1.5964 5.9657 5.0096
4.9948 7.3102 2.6155
4.9762 7.1945 7.8241
0.3967 0.6968 2.3882
0.3742 0.4341 7.6145
1.4805 5.1194 9.0808
1.5179 2.6992 7.2262
1.5836 5.2632 6.1308
1.5981 7.2329 5.0851
1.6166 5.2615 3.9309
1.5861 7.1129 10.1229
1.6040 1.6051 9.5058
1.6386 2.9146 2.0506
1.6371 1.7563 4.3222
1.6791 5.4082 0.8664
2.8339 0.5015 7.5708
2.9016 0.7135 2.3880
3.7145 3.6855 5.1340
3.7554 3.7542 0.1061
4.9304 8.0003 8.8640
4.9464 7.8754 6.6746
4.9658 1.4905 5.5972
4.9950 8.0015 1.4833
4.9877 8.0840 3.6667
5.0030 6.0617 2.6379
5.0266 1.5786 0.4136
5.0066 2.4338 8.5674
5.0497 2.6004 3.3099
5.0377 5.9600 7.8711
6.2512 3.6702 5.2576
6.2809 3.7812 0.0821
```

Peak list (8 most intense, 2θ = 10–90°, by intensity)
2theta  intensity
34.5  100.0
26.5  99.2
16.5  75.9
26.1  66.2
33.4  46.0
33.5  44.1
54.6  43.1
20.0  34.3

Computed X-ray powder pattern
Compound: Na5Mn2PC4O16
Radiation: Cu Kα X-rays
Structure: a crystal structure in the Materials Project, relaxed with GGA+U
Neutral-atom scattering factors, no anomalous dispersion.

```
Na5Mn2PC4O16
1.0
6.9419 -7.0646 0.0000
6.9419 7.0646 0.0000
-6.8041 0.0000 7.1884
Na Mn P C O
10 4 2 8 32
Cartesian
1.8389 5.8746 5.3913
1.8553 1.8078 1.1616
-2.1826 1.7813 5.4484
1.2194 -1.7813 1.8542
-1.5467 -1.8078 4.7558
8.6264 1.8078 2.4326
5.8603 1.7813 5.3342
9.2624 -1.7813 1.7400
5.2244 -1.8078 6.0268
5.2409 -5.8746 1.7971
0.0689 3.5323 3.5942
3.4710 -3.5323 0.0000
6.9419 0.0000 0.0000
3.5399 0.0000 3.5942
5.2409 5.3029 1.7971
1.8389 -5.3029 5.3913
0.5638 0.5027 4.0253
0.5907 3.0024 6.6955
3.0870 3.0024 4.0871
3.9658 -0.5027 0.4311
3.1139 0.5027 6.7573
3.9927 -3.0024 3.1013
6.4890 -3.0024 0.4929
6.5159 -0.5027 3.1631
4.3534 6.2078 2.7018
4.3223 4.4374 0.9029
6.1284 6.2078 0.8924
0.3643 1.4665 3.1770
2.1502 3.8781 3.8561
-0.2703 3.2115 5.7609
-0.2594 0.2931 4.9901
1.5275 3.8781 6.9265
6.1595 4.4374 2.6913
3.1360 1.9466 3.3294
3.1427 -0.2931 1.3959
-3.0378 -1.4665 6.7712
4.9780 0.3117 0.2694
1.5760 -0.3117 3.8636
3.9480 3.2115 5.0217
7.3458 1.9466 0.2648
-0.2661 -1.9466 6.9236
3.1318 -3.2115 2.1667
5.5038 0.3117 3.3248
2.1017 -0.3117 6.9190
10.1175 1.4665 0.4172
3.9371 0.2931 5.7925
3.9438 -1.9466 3.8590
0.9202 -4.4374 4.4971
5.5522 -3.8781 0.2619
7.3391 -0.2931 2.1983
7.3500 -3.2115 1.4275
4.9295 -3.8781 3.3323
6.7155 -1.4665 4.0114
0.9513 -6.2078 6.2960
2.7575 -4.4374 6.2855
2.7264 -6.2078 4.4866
```

Peak list (8 most intense, 2θ = 10–90°, by intensity)
2theta  intensity
20.8  100.0
10.9  86.5
35.6  79.0
32.9  67.6
36.3  65.3
20.7  61.9
32.3  54.7
21.2  52.7